Structure and computed XRD peak list of ZrCrN2F (a DFT-relaxed cell (GGA+U, Alexandria); copper Kα).
Intensities are scaled so that the largest is 100.

Peak list (12 most intense, 2θ from 10° to 80°, low angle first)
2theta, I/Imax, (hkl)
24.53, 3, 0 0 1
32.01, 68, 1 1 0
33.52, 100, 1 0 1
40.74, 25, 1 1 1
45.90, 45, 2 0 0
50.28, 17, 0 0 2
58.02, 39, 2 1 1
60.86, 20, 1 1 2
66.93, 13, 2 2 0
70.43, 21, 2 0 2
76.13, 10, 3 1 0
76.96, 8, 3 0 1

Atomic structure:
abc: 3.9542 3.9542 3.6292
angles: 90.00 90.00 90.00
Positions (direct):
Zr  0.0000  0.0000  0.0000
Cr  0.5000  0.5000  0.5000
N  0.0000  0.5000  0.5000
N  0.5000  0.0000  0.5000
F  0.5000  0.5000  0.0000